Entry 1:
The following is a simulated X-ray diffraction stick pattern of Fe2SiNi. It was derived from the GGA-PBE geometry in the Materials Project, using λ = 1.5418 Å (Cu Kα).
Kinematic intensities with the Lorentz-polarization factor, no thermal factor.

Main lines, low angle first (2θ from 10° to 90°):
27.4°, I = 6, hkl 1 1 1; 31.7°, I = 4, hkl 2 0 0; 45.5°, I = 100, hkl 2 2 0; 53.9°, I = 2, hkl 3 1 1; 56.5°, I = 1, hkl 2 2 2; 66.3°, I = 15, hkl 4 0 0; 73.2°, I = 1, hkl 3 3 1; 75.4°, I = 1, hkl 4 2 0; 84.1°, I = 30, hkl 4 2 2

Crystal structure
```
data_Fe2SiNi
_chemical_formula_sum 'Fe8 Si4 Ni4'
_cell_length_a 5.6391
_cell_length_b 5.6391
_cell_length_c 5.6391
_cell_angle_alpha 90.00
_cell_angle_beta 90.00
_cell_angle_gamma 90.00
_symmetry_space_group_name_H-M 'F -4 3 m'
_symmetry_Int_Tables_number 216
_symmetry_space_group_name_Hall 'F -4 2 3'
loop_
_atom_site_label
_atom_site_type_symbol
_atom_site_fract_x
_atom_site_fract_y
_atom_site_fract_z
_atom_site_occupancy
Fe1 Fe 0.0000 0.0000 0.0000 1
Fe2 Fe 0.2500 0.2500 0.2500 1
Si1 Si 0.0000 0.0000 0.5000 1
Ni1 Ni 0.2500 0.2500 0.7500 1
```



Entry 2:
The following is a simulated X-ray diffraction stick pattern of FeSiNi. It was derived from the GGA-PBE geometry in the Materials Project, using λ = 1.5418 Å (Cu Kα).
Kinematic intensities with the Lorentz-polarization factor, no thermal factor.

Main lines, low angle first (2θ from 10° to 90°):
32.4°, I = 26, hkl 1 1 1; 39.6°, I = 70, hkl 1 1 2; 42.3°, I = 86, hkl 2 1 0; 42.7°, I = 41, hkl 1 0 3; 43.2°, I = 34, hkl 2 0 2; 44.4°, I = 96, hkl 2 1 1; 46.3°, I = 91, hkl 0 1 3; 49.7°, I = 100, hkl 0 2 0; 52.7°, I = 27, hkl 2 0 3; 82.6°, I = 25, hkl 3 1 4

Crystal structure
```
data_FeSiNi
_chemical_formula_sum 'Fe4 Si4 Ni4'
_cell_length_a 5.2464
_cell_length_b 3.6716
_cell_length_c 6.9489
_cell_angle_alpha 90.00
_cell_angle_beta 90.00
_cell_angle_gamma 90.00
_symmetry_space_group_name_H-M 'P n m a'
_symmetry_Int_Tables_number 62
_symmetry_space_group_name_Hall '-P 2ac 2n'
loop_
_atom_site_label
_atom_site_type_symbol
_atom_site_fract_x
_atom_site_fract_y
_atom_site_fract_z
_atom_site_occupancy
Fe1 Fe 0.0387 0.2500 0.1975 1
Si1 Si 0.2274 0.2500 0.8812 1
Ni1 Ni 0.1566 0.2500 0.5583 1
```



Entry 3:
The following is a simulated X-ray diffraction stick pattern of Fe3Si2Ni3. It was derived from the GGA-PBE geometry in the Materials Project, using λ = 1.5418 Å (Cu Kα).
Kinematic intensities with the Lorentz-polarization factor, no thermal factor.

Main lines, low angle first (2θ from 10° to 90°):
25.3°, I = 4, hkl 0 0 2; 25.7°, I = 3, hkl 1 0 0; 35.9°, I = 3, hkl 1 1 0; 44.4°, I = 100, hkl 1 1 2; 50.3°, I = 17, hkl 0 2 0; 51.9°, I = 15, hkl 0 0 4; 52.9°, I = 14, hkl 2 0 0; 75.2°, I = 9, hkl 0 2 4; 76.0°, I = 9, hkl 2 2 0; 77.3°, I = 9, hkl 2 0 4

Crystal structure
```
data_Fe3Si2Ni3
_chemical_formula_sum 'Fe3 Si2 Ni3'
_cell_length_a 3.4612
_cell_length_b 3.6246
_cell_length_c 7.0498
_cell_angle_alpha 90.00
_cell_angle_beta 90.00
_cell_angle_gamma 90.00
_symmetry_space_group_name_H-M 'P m m m'
_symmetry_Int_Tables_number 47
_symmetry_space_group_name_Hall '-P 2 2'
loop_
_atom_site_label
_atom_site_type_symbol
_atom_site_fract_x
_atom_site_fract_y
_atom_site_fract_z
_atom_site_occupancy
Fe1 Fe 0.0000 0.0000 0.0000 1
Fe2 Fe 0.5000 0.0000 0.2468 1
Si1 Si 0.0000 0.5000 0.2529 1
Ni1 Ni 0.0000 0.0000 0.5000 1
Ni2 Ni 0.5000 0.5000 0.0000 1
Ni3 Ni 0.5000 0.5000 0.5000 1
```



Entry 4:
The following is a simulated X-ray diffraction stick pattern of UFe5Si2Ni5. It was derived from the GGA-PBE geometry in the Materials Project, using λ = 1.5418 Å (Cu Kα).
Kinematic intensities with the Lorentz-polarization factor, no thermal factor.

Main lines, low angle first (2θ from 10° to 90°):
15.3°, I = 87, hkl 0 1 0; 30.6°, I = 52, hkl 1 2 0; 35.2°, I = 39, hkl 0 1 2; 43.0°, I = 50, hkl 2 0 2; 43.2°, I = 80, hkl 0 2 -2; 43.4°, I = 100, hkl 2 2 0; 43.6°, I = 41, hkl 1 0 3; 44.0°, I = 53, hkl 2 2 2; 44.1°, I = 68, hkl 1 0 -2; 45.2°, I = 51, hkl 0 2 2

Crystal structure
```
data_UFe5Si2Ni5
_chemical_formula_sum 'U1 Fe5 Si2 Ni5'
_cell_length_a 4.8373
_cell_length_b 6.2380
_cell_length_c 6.2964
_cell_angle_alpha 83.97
_cell_angle_beta 67.47
_cell_angle_gamma 68.19
_symmetry_space_group_name_H-M 'P -1'
_symmetry_Int_Tables_number 2
_symmetry_space_group_name_Hall '-P 1'
loop_
_atom_site_label
_atom_site_type_symbol
_atom_site_fract_x
_atom_site_fract_y
_atom_site_fract_z
_atom_site_occupancy
U1 U 0.0000 0.0000 0.0000 1
Fe1 Fe 0.2792 0.2247 0.2217 1
Fe2 Fe 0.4986 0.7775 0.2205 1
Fe3 Fe 0.5000 0.5000 0.0000 1
Si1 Si 0.0047 0.3507 0.6459 1
Ni1 Ni 0.0000 0.0000 0.5000 1
Ni2 Ni 0.0000 0.5000 0.0000 1
Ni3 Ni 0.3313 0.6569 0.6603 1
Ni4 Ni 0.5000 0.0000 0.5000 1
```



Entry 5:
The following is a simulated X-ray diffraction stick pattern of TbFeNi4. It was derived from the GGA-PBE geometry in the Materials Project, using λ = 1.5418 Å (Cu Kα).
Kinematic intensities with the Lorentz-polarization factor, no thermal factor.

Main lines, low angle first (2θ from 10° to 90°):
30.9°, I = 54, hkl 1 0 1; 36.3°, I = 32, hkl 1 1 0; 42.2°, I = 38, hkl 2 0 0; 43.3°, I = 100, hkl 1 1 1; 46.3°, I = 26, hkl 0 0 2; 60.2°, I = 14, hkl 1 1 2; 62.0°, I = 15, hkl 2 1 1; 64.4°, I = 21, hkl 2 0 2; 70.2°, I = 22, hkl 3 0 1; 77.2°, I = 16, hkl 2 2 0

Crystal structure
```
data_TbFeNi4
_chemical_formula_sum 'Tb1 Fe1 Ni4'
_cell_length_a 4.9432
_cell_length_b 4.9432
_cell_length_c 3.9248
_cell_angle_alpha 90.00
_cell_angle_beta 90.00
_cell_angle_gamma 120.00
_symmetry_space_group_name_H-M 'P -6 m 2'
_symmetry_Int_Tables_number 187
_symmetry_space_group_name_Hall 'P -6 2'
loop_
_atom_site_label
_atom_site_type_symbol
_atom_site_fract_x
_atom_site_fract_y
_atom_site_fract_z
_atom_site_occupancy
Tb1 Tb 0.0000 0.0000 0.0000 1
Fe1 Fe 0.3333 0.6667 0.0000 1
Ni1 Ni 0.5004 0.0007 0.5000 1
Ni2 Ni 0.6667 0.3333 0.0000 1
```



Entry 6:
The following is a simulated X-ray diffraction stick pattern of ThFe4Ni. It was derived from the GGA-PBE geometry in the Materials Project, using λ = 1.5418 Å (Cu Kα).
Kinematic intensities with the Lorentz-polarization factor, no thermal factor.

Main lines, low angle first (2θ from 10° to 90°):
20.4°, I = 18, hkl 1 0 0; 29.9°, I = 74, hkl 1 0 1; 35.7°, I = 40, hkl 1 1 0; 41.5°, I = 36, hkl 2 0 0; 42.1°, I = 100, hkl 1 1 1; 44.0°, I = 24, hkl 0 0 2; 57.9°, I = 20, hkl 1 1 2; 60.6°, I = 21, hkl 2 1 1; 62.1°, I = 22, hkl 2 0 2; 68.6°, I = 23, hkl 3 0 1

Crystal structure
```
data_ThFe4Ni
_chemical_formula_sum 'Th1 Fe4 Ni1'
_cell_length_a 5.0266
_cell_length_b 5.0266
_cell_length_c 4.1176
_cell_angle_alpha 90.00
_cell_angle_beta 90.00
_cell_angle_gamma 120.00
_symmetry_space_group_name_H-M 'P -6 m 2'
_symmetry_Int_Tables_number 187
_symmetry_space_group_name_Hall 'P -6 2'
loop_
_atom_site_label
_atom_site_type_symbol
_atom_site_fract_x
_atom_site_fract_y
_atom_site_fract_z
_atom_site_occupancy
Th1 Th 0.0000 0.0000 0.0000 1
Fe1 Fe 0.5014 0.0028 0.5000 1
Fe2 Fe 0.6667 0.3333 0.0000 1
Ni1 Ni 0.3333 0.6667 0.0000 1
```